The following is a theoretical powder diffraction line list of Li7Mn4CoO12. It was derived from a DFT-relaxed cell (PBE+U, Alexandria), using λ = 1.5418 Å (Cu Kα).
Peak positions follow from Bragg's law for the DFT cell and can differ from measured ones.

Atomic structure:
Cell: 5.1063 5.8189 7.8655 Å, 100.62 95.15 106.77°
Space group P1 (No. 1)
One atom of each set of equivalent atoms:
Li1 0.0000 0.0000 0.0000 (multiplicity 1)
Li2 0.0013 0.1665 0.6810 (multiplicity 1)
Li3 0.0049 0.5013 0.9992 (multiplicity 1)
Li4 0.0112 0.6663 0.6730 (multiplicity 1)
Li5 0.4965 0.7496 0.5143 (multiplicity 1)
Li6 0.9697 0.8287 0.3483 (multiplicity 1)
Li7 0.9970 0.3405 0.3562 (multiplicity 1)
Mn1 0.4877 0.9136 0.1750 (multiplicity 1)
Mn2 0.4909 0.4182 0.1755 (multiplicity 1)
Mn3 0.4918 0.2520 0.5118 (multiplicity 1)
Mn4 0.5060 0.0828 0.8395 (multiplicity 1)
Co1 0.4976 0.5836 0.8301 (multiplicity 1)
O1 0.2567 0.4446 0.5879 (multiplicity 1)
O2 0.2592 0.1237 0.2408 (multiplicity 1)
O3 0.2619 0.6241 0.2384 (multiplicity 1)
O4 0.2739 0.8152 0.9343 (multiplicity 1)
O5 0.2770 0.9807 0.6154 (multiplicity 1)
O6 0.2855 0.2952 0.9384 (multiplicity 1)
O7 0.7032 0.0375 0.4022 (multiplicity 1)
O8 0.7087 0.1982 0.0876 (multiplicity 1)
O9 0.7113 0.5183 0.4048 (multiplicity 1)
O10 0.7149 0.7056 0.1048 (multiplicity 1)
O11 0.7367 0.8914 0.7697 (multiplicity 1)
O12 0.7464 0.3580 0.7702 (multiplicity 1)

Peak list (8 most intense, 10 to 80 degrees two-theta, most intense first)
4.832 Å, rel. 100, hkl 1 0 0
2.124 Å, rel. 30, hkl 1 0 3
2.068 Å, rel. 28, hkl -2 2 1
2.062 Å, rel. 28, hkl 1 2 -2
2.491 Å, rel. 25, hkl 0 2 -2
1.480 Å, rel. 15, hkl -1 2 4
2.547 Å, rel. 14, hkl 0 0 3
7.641 Å, rel. 12, hkl 0 0 1



The following is a theoretical powder diffraction line list of Li4MnCo2O7. It was derived from a DFT-relaxed cell (PBE+U, Alexandria), using λ = 1.5418 Å (Cu Kα).
Peak positions follow from Bragg's law for the DFT cell and can differ from measured ones.

Atomic structure:
Cell: 2.8829 9.6859 9.7250 Å, 114.64 98.07 91.11°
Space group P-1 (No. 2)
One atom of each set of equivalent atoms:
Li1 0.0000 0.0000 0.0000 (multiplicity 1)
Li2 0.0626 0.7932 0.1452 (multiplicity 2)
Li3 0.2200 0.3530 0.4246 (multiplicity 2)
Li4 0.3603 0.9396 0.7262 (multiplicity 2)
Li5 0.5000 0.5000 0.0000 (multiplicity 1)
Mn1 0.4246 0.7235 0.8676 (multiplicity 2)
Co1 0.1499 0.5778 0.2935 (multiplicity 2)
Co2 0.2916 0.1393 0.5673 (multiplicity 2)
O1 0.0559 0.3872 0.0805 (multiplicity 2)
O2 0.1059 0.1911 0.2047 (multiplicity 2)
O3 0.1866 0.9611 0.3753 (multiplicity 2)
O4 0.2306 0.7640 0.4962 (multiplicity 2)
O5 0.3041 0.5371 0.6551 (multiplicity 2)
O6 0.4013 0.3176 0.7675 (multiplicity 2)
O7 0.4741 0.1217 0.9403 (multiplicity 2)

Peak list (8 most intense, 10 to 80 degrees two-theta, most intense first)
4.799 Å, rel. 100, hkl 0 1 -2
2.075 Å, rel. 27, hkl 1 -3 2
2.055 Å, rel. 26, hkl 0 2 3
2.039 Å, rel. 26, hkl 1 3 -3
8.735 Å, rel. 17, hkl 0 0 1
2.486 Å, rel. 13, hkl 1 -2 0
2.474 Å, rel. 13, hkl 0 3 1
2.444 Å, rel. 12, hkl 1 2 -1



The following is a theoretical powder diffraction line list of Li7Mn2Co3O12. It was derived from a DFT-relaxed cell (PBE+U, Alexandria), using λ = 1.5418 Å (Cu Kα).
Peak positions follow from Bragg's law for the DFT cell and can differ from measured ones.

Atomic structure:
Cell: 29.2227 2.8557 5.1222 Å, 90.00 99.45 90.00°
Space group Cm (No. 8)
One atom of each set of equivalent atoms:
Li1 0.0000 0.0000 0.0000 (multiplicity 2)
Li2 0.0002 0.5000 0.4782 (multiplicity 2)
Li3 0.1669 0.0000 0.5180 (multiplicity 2)
Li4 0.1715 0.5000 0.0583 (multiplicity 2)
Li5 0.2483 0.0000 0.2579 (multiplicity 2)
Li6 0.3251 0.5000 0.4700 (multiplicity 2)
Li7 0.3272 0.0000 0.9839 (multiplicity 2)
Mn1 0.2474 0.5000 0.7574 (multiplicity 2)
Mn2 0.4159 0.0000 0.7387 (multiplicity 2)
Co1 0.0824 0.0000 0.7534 (multiplicity 2)
Co2 0.0815 0.5000 0.2512 (multiplicity 2)
Co3 0.4146 0.5000 0.2386 (multiplicity 2)
O1 0.0437 0.0000 0.3628 (multiplicity 2)
O2 0.0476 0.5000 0.8884 (multiplicity 2)
O3 0.1148 0.5000 0.6101 (multiplicity 2)
O4 0.1184 0.0000 0.1397 (multiplicity 2)
O5 0.2084 0.5000 0.4187 (multiplicity 2)
O6 0.2100 0.0000 0.8770 (multiplicity 2)
O7 0.2848 0.0000 0.6382 (multiplicity 2)
O8 0.2880 0.5000 0.0969 (multiplicity 2)
O9 0.3782 0.5000 0.8430 (multiplicity 2)
O10 0.3787 0.0000 0.3901 (multiplicity 2)
O11 0.4530 0.0000 0.0938 (multiplicity 2)
O12 0.4549 0.5000 0.6336 (multiplicity 2)

Peak list (8 most intense, 10 to 80 degrees two-theta, most intense first)
4.804 Å, rel. 100, hkl 6 0 0
2.046 Å, rel. 54, hkl 9 1 -1
1.465 Å, rel. 36, hkl 3 1 -3
2.099 Å, rel. 28, hkl 6 0 2
2.456 Å, rel. 27, hkl 3 1 -1
2.526 Å, rel. 13, hkl 0 0 2
1.584 Å, rel. 9, hkl 15 1 -1
7.207 Å, rel. 9, hkl 4 0 0



The following is a theoretical powder diffraction line list of Li7Mn2Co3O12. It was derived from a DFT-relaxed cell (PBE+U, Alexandria), using λ = 1.5418 Å (Cu Kα).
Peak positions follow from Bragg's law for the DFT cell and can differ from measured ones.

Atomic structure:
Cell: 12.5360 2.9029 11.8633 Å, 90.00 103.65 90.00°
Space group Cm (No. 8)
One atom of each set of equivalent atoms:
Li1 0.0000 0.0000 0.0000 (multiplicity 2)
Li2 0.9995 0.0000 0.2253 (multiplicity 2)
Li3 0.1630 0.5000 0.1412 (multiplicity 2)
Li4 0.1666 0.5000 0.6492 (multiplicity 2)
Li5 0.3260 0.0000 0.8253 (multiplicity 2)
Li6 0.3433 0.0000 0.3032 (multiplicity 2)
Li7 0.4948 0.5000 0.4652 (multiplicity 2)
Mn1 0.1627 0.5000 0.3927 (multiplicity 2)
Mn2 0.4951 0.5000 0.7268 (multiplicity 2)
Co1 0.1620 0.5000 0.9016 (multiplicity 2)
Co2 0.3309 0.0000 0.5606 (multiplicity 2)
Co3 0.3368 0.0000 0.0674 (multiplicity 2)
O1 0.0128 0.5000 0.3605 (multiplicity 2)
O2 0.1511 0.0000 0.7672 (multiplicity 2)
O3 0.1727 0.0000 0.2895 (multiplicity 2)
O4 0.1736 0.0000 0.5109 (multiplicity 2)
O5 0.1754 0.0000 0.0233 (multiplicity 2)
O6 0.3283 0.5000 0.4516 (multiplicity 2)
O7 0.3323 0.5000 0.1721 (multiplicity 2)
O8 0.3331 0.5000 0.9555 (multiplicity 2)
O9 0.3346 0.5000 0.6725 (multiplicity 2)
O10 0.4867 0.0000 0.1027 (multiplicity 2)
O11 0.4882 0.0000 0.8325 (multiplicity 2)
O12 0.4905 0.0000 0.6134 (multiplicity 2)

Peak list (8 most intense, 10 to 80 degrees two-theta, most intense first)
4.789 Å, rel. 100, hkl 2 0 -2
2.075 Å, rel. 56, hkl 1 1 -4
1.451 Å, rel. 35, hkl 0 2 0
2.030 Å, rel. 26, hkl 6 0 0
2.483 Å, rel. 24, hkl 1 1 2
2.463 Å, rel. 13, hkl 4 0 2
1.602 Å, rel. 10, hkl 3 1 -6
1.878 Å, rel. 8, hkl 5 1 -2



The following is a theoretical powder diffraction line list of Li6Mn3CoO10. It was derived from a DFT-relaxed cell (PBE+U, Alexandria), using λ = 1.5418 Å (Cu Kα).
Peak positions follow from Bragg's law for the DFT cell and can differ from measured ones.

Atomic structure:
Cell: 5.0830 14.3672 5.1277 Å, 90.00 110.42 90.00°
Space group C2 (No. 5)
One atom of each set of equivalent atoms:
Li1 0.0000 0.0000 0.0000 (multiplicity 2)
Li2 0.0000 0.0957 0.5000 (multiplicity 2)
Li3 0.0000 0.1940 0.0000 (multiplicity 2)
Li4 0.0000 0.3994 0.0000 (multiplicity 2)
Li5 0.0000 0.5980 0.0000 (multiplicity 2)
Li6 0.0000 0.7962 0.0000 (multiplicity 2)
Mn1 0.0000 0.2967 0.5000 (multiplicity 2)
Mn2 0.0000 0.4999 0.5000 (multiplicity 2)
Mn3 0.0000 0.6988 0.5000 (multiplicity 2)
Co1 0.0000 0.8990 0.5000 (multiplicity 2)
O1 0.2198 0.5984 0.7315 (multiplicity 4)
O2 0.2236 0.7971 0.7348 (multiplicity 4)
O3 0.2437 0.4913 0.2787 (multiplicity 4)
O4 0.2453 0.7028 0.2816 (multiplicity 4)
O5 0.2473 0.4011 0.7156 (multiplicity 4)

Peak list (8 most intense, 10 to 80 degrees two-theta, most intense first)
4.806 Å, rel. 100, hkl 0 0 1
2.046 Å, rel. 57, hkl 1 5 1
2.096 Å, rel. 31, hkl 2 0 -2
2.460 Å, rel. 24, hkl 1 5 0
1.459 Å, rel. 16, hkl 3 5 -1
1.469 Å, rel. 15, hkl 1 5 -3
7.184 Å, rel. 14, hkl 0 2 0
2.511 Å, rel. 13, hkl 2 0 -1



The following is a theoretical powder diffraction line list of Li4MnCo2O7. It was derived from a DFT-relaxed cell (PBE+U, Alexandria), using λ = 1.5418 Å (Cu Kα).
Peak positions follow from Bragg's law for the DFT cell and can differ from measured ones.

Atomic structure:
Cell: 5.1318 19.8882 5.1369 Å, 90.00 111.49 90.00°
Space group C2 (No. 5)
One atom of each set of equivalent atoms:
Li1 0.0000 0.0000 0.0000 (multiplicity 2)
Li2 0.0000 0.0669 0.5000 (multiplicity 2)
Li3 0.0000 0.2121 0.5000 (multiplicity 2)
Li4 0.0000 0.3615 0.5000 (multiplicity 2)
Li5 0.0000 0.4991 0.5000 (multiplicity 2)
Li6 0.0000 0.6412 0.5000 (multiplicity 2)
Li7 0.0000 0.7880 0.5000 (multiplicity 2)
Li8 0.0000 0.9320 0.5000 (multiplicity 2)
Mn1 0.0000 0.2868 0.0000 (multiplicity 2)
Mn2 0.0000 0.5697 0.0000 (multiplicity 2)
Co1 0.0000 0.1429 0.0000 (multiplicity 2)
Co2 0.0000 0.4282 0.0000 (multiplicity 2)
Co3 0.0000 0.7133 0.0000 (multiplicity 2)
Co4 0.0000 0.8609 0.0000 (multiplicity 2)
O1 0.2183 0.5006 0.2363 (multiplicity 4)
O2 0.2239 0.3560 0.2366 (multiplicity 4)
O3 0.2271 0.2159 0.2308 (multiplicity 4)
O4 0.2294 0.6435 0.2303 (multiplicity 4)
O5 0.2438 0.7854 0.2075 (multiplicity 4)
O6 0.2466 0.5758 0.7854 (multiplicity 4)
O7 0.2482 0.4246 0.7897 (multiplicity 4)

Peak list (8 most intense, 10 to 80 degrees two-theta, most intense first)
4.780 Å, rel. 100, hkl 0 0 1
2.026 Å, rel. 51, hkl 1 7 1
2.122 Å, rel. 30, hkl 2 0 -2
1.465 Å, rel. 29, hkl 3 7 -1
2.442 Å, rel. 24, hkl 1 7 0
2.540 Å, rel. 16, hkl 2 0 -1
1.567 Å, rel. 10, hkl 1 7 2
1.895 Å, rel. 9, hkl 1 7 -2



The following is a theoretical powder diffraction line list of Li7Mn4CoO12. It was derived from a DFT-relaxed cell (PBE+U, Alexandria), using λ = 1.5418 Å (Cu Kα).
Peak positions follow from Bragg's law for the DFT cell and can differ from measured ones.

Atomic structure:
Cell: 5.1137 2.8898 14.3382 Å, 90.00 90.03 90.00°
Space group Pm (No. 6)
One atom of each set of equivalent atoms:
Li1 0.0000 0.0000 0.0000 (multiplicity 1)
Li2 0.0030 0.0000 0.5026 (multiplicity 1)
Li3 0.1838 0.5000 0.1706 (multiplicity 1)
Li4 0.3360 0.0000 0.3417 (multiplicity 1)
Li5 0.5020 0.5000 0.5019 (multiplicity 1)
Li6 0.6690 0.0000 0.6618 (multiplicity 1)
Li7 0.8151 0.5000 0.8308 (multiplicity 1)
Mn1 0.1555 0.5000 0.6642 (multiplicity 1)
Mn2 0.4937 0.5000 0.9985 (multiplicity 1)
Mn3 0.6880 0.0000 0.1683 (multiplicity 1)
Mn4 0.8535 0.5000 0.3408 (multiplicity 1)
Co1 0.3108 0.0000 0.8327 (multiplicity 1)
O1 0.0213 0.0000 0.7465 (multiplicity 1)
O2 0.1501 0.5000 0.4112 (multiplicity 1)
O3 0.1561 0.5000 0.9064 (multiplicity 1)
O4 0.3182 0.0000 0.5957 (multiplicity 1)
O5 0.3679 0.0000 0.0814 (multiplicity 1)
O6 0.4553 0.5000 0.7578 (multiplicity 1)
O7 0.5456 0.5000 0.2467 (multiplicity 1)
O8 0.6186 0.0000 0.9161 (multiplicity 1)
O9 0.6897 0.0000 0.4088 (multiplicity 1)
O10 0.8410 0.5000 0.0911 (multiplicity 1)
O11 0.8568 0.5000 0.5945 (multiplicity 1)
O12 0.9905 0.0000 0.2585 (multiplicity 1)

Peak list (8 most intense, 10 to 80 degrees two-theta, most intense first)
4.817 Å, rel. 100, hkl 1 0 -1
2.060 Å, rel. 54, hkl 1 1 -4
2.081 Å, rel. 26, hkl 2 0 4
2.473 Å, rel. 26, hkl 0 1 3
1.468 Å, rel. 20, hkl 2 0 -8
1.460 Å, rel. 16, hkl 1 1 8
2.501 Å, rel. 13, hkl 1 0 5
7.169 Å, rel. 10, hkl 0 0 2



The following is a theoretical powder diffraction line list of Li4MnCo2O7. It was derived from a DFT-relaxed cell (PBE+U, Alexandria), using λ = 1.5418 Å (Cu Kα).
Peak positions follow from Bragg's law for the DFT cell and can differ from measured ones.

Atomic structure:
Cell: 5.1140 7.6652 7.6778 Å, 60.73 70.77 83.04°
Space group P1 (No. 1)
One atom of each set of equivalent atoms:
Li1 0.0000 0.0000 0.0000 (multiplicity 1)
Li2 0.0006 0.7243 0.4278 (multiplicity 1)
Li3 0.0126 0.2996 0.5523 (multiplicity 1)
Li4 0.5018 0.3689 0.2107 (multiplicity 1)
Li5 0.9847 0.8647 0.7161 (multiplicity 1)
Li6 0.9905 0.4346 0.8606 (multiplicity 1)
Li7 0.9922 0.5718 0.1421 (multiplicity 1)
Li8 0.9978 0.1694 0.2720 (multiplicity 1)
Mn1 0.4773 0.6474 0.7931 (multiplicity 1)
Mn2 0.5021 0.5067 0.4951 (multiplicity 1)
Co1 0.4878 0.7907 0.0706 (multiplicity 1)
Co2 0.4917 0.0812 0.6344 (multiplicity 1)
Co3 0.4940 0.9404 0.3562 (multiplicity 1)
Co4 0.5097 0.2194 0.9435 (multiplicity 1)
O1 0.2395 0.8161 0.8892 (multiplicity 1)
O2 0.2603 0.4108 0.0157 (multiplicity 1)
O3 0.2649 0.6712 0.6122 (multiplicity 1)
O4 0.2717 0.1032 0.4632 (multiplicity 1)
O5 0.2739 0.9684 0.1786 (multiplicity 1)
O6 0.2813 0.5572 0.3191 (multiplicity 1)
O7 0.2815 0.2654 0.7247 (multiplicity 1)
O8 0.6949 0.0289 0.8286 (multiplicity 1)
O9 0.6994 0.8932 0.5478 (multiplicity 1)
O10 0.7062 0.6278 0.9527 (multiplicity 1)
O11 0.7149 0.4801 0.6807 (multiplicity 1)
O12 0.7190 0.7532 0.2732 (multiplicity 1)
O13 0.7407 0.3402 0.3994 (multiplicity 1)
O14 0.7492 0.1831 0.0914 (multiplicity 1)

Peak list (8 most intense, 10 to 80 degrees two-theta, most intense first)
4.823 Å, rel. 100, hkl 1 0 0
2.091 Å, rel. 28, hkl 1 2 -1
2.072 Å, rel. 27, hkl 2 1 3
2.042 Å, rel. 26, hkl -1 3 2
1.464 Å, rel. 14, hkl 1 -1 4
2.504 Å, rel. 14, hkl 0 2 -1
2.484 Å, rel. 13, hkl 1 1 3
2.460 Å, rel. 12, hkl 0 3 2



The following is a theoretical powder diffraction line list of Li7Mn4CoO12. It was derived from a DFT-relaxed cell (PBE+U, Alexandria), using λ = 1.5418 Å (Cu Kα).
Peak positions follow from Bragg's law for the DFT cell and can differ from measured ones.

Atomic structure:
Cell: 5.0343 5.1655 8.7872 Å, 73.71 84.66 79.39°
Space group P1 (No. 1)
One atom of each set of equivalent atoms:
Li1 0.0000 0.0000 0.0000 (multiplicity 1)
Li2 0.0019 0.6690 0.3208 (multiplicity 1)
Li3 0.2440 0.4258 0.0773 (multiplicity 1)
Li4 0.4871 0.1720 0.8412 (multiplicity 1)
Li5 0.4910 0.8547 0.1522 (multiplicity 1)
Li6 0.4972 0.5058 0.4956 (multiplicity 1)
Li7 0.9870 0.3309 0.6680 (multiplicity 1)
Mn1 0.2423 0.7448 0.7524 (multiplicity 1)
Mn2 0.2442 0.0932 0.4110 (multiplicity 1)
Mn3 0.7413 0.5800 0.9157 (multiplicity 1)
Mn4 0.7418 0.9200 0.5787 (multiplicity 1)
Co1 0.7471 0.2710 0.2379 (multiplicity 1)
O1 0.0999 0.4076 0.8643 (multiplicity 1)
O2 0.1114 0.0539 0.2229 (multiplicity 1)
O3 0.1175 0.7484 0.5381 (multiplicity 1)
O4 0.3704 0.1010 0.6164 (multiplicity 1)
O5 0.3810 0.7867 0.9425 (multiplicity 1)
O6 0.3842 0.4203 0.3003 (multiplicity 1)
O7 0.6054 0.8940 0.3812 (multiplicity 1)
O8 0.6092 0.5418 0.7205 (multiplicity 1)
O9 0.6394 0.2386 0.0339 (multiplicity 1)
O10 0.8503 0.6250 0.1099 (multiplicity 1)
O11 0.8624 0.9290 0.7845 (multiplicity 1)
O12 0.8981 0.2955 0.4485 (multiplicity 1)

Peak list (8 most intense, 10 to 80 degrees two-theta, most intense first)
4.831 Å, rel. 100, hkl 0 1 1
2.117 Å, rel. 31, hkl 1 2 -1
2.068 Å, rel. 29, hkl 1 1 4
2.049 Å, rel. 28, hkl -2 1 1
1.476 Å, rel. 16, hkl 0 1 -5
2.534 Å, rel. 14, hkl 1 1 -2
2.490 Å, rel. 13, hkl 1 0 3
2.472 Å, rel. 12, hkl 2 0 0



The following is a theoretical powder diffraction line list of Li7Mn2Co3O12. It was derived from a DFT-relaxed cell (PBE+U, Alexandria), using λ = 1.5418 Å (Cu Kα).
Peak positions follow from Bragg's law for the DFT cell and can differ from measured ones.

Atomic structure:
Cell: 5.0360 5.8418 7.6549 Å, 77.24 76.41 72.03°
Space group P1 (No. 1)
One atom of each set of equivalent atoms:
Li1 0.0000 0.0000 0.0000 (multiplicity 1)
Li2 0.0016 0.6711 0.3293 (multiplicity 1)
Li3 0.4833 0.8297 0.1711 (multiplicity 1)
Li4 0.4956 0.1606 0.8184 (multiplicity 1)
Li5 0.5010 0.4849 0.4836 (multiplicity 1)
Li6 0.9851 0.3109 0.6390 (multiplicity 1)
Li7 0.9939 0.1552 0.3277 (multiplicity 1)
Mn1 0.4932 0.3225 0.1604 (multiplicity 1)
Mn2 0.4947 0.6608 0.8217 (multiplicity 1)
Co1 0.4947 0.9928 0.4883 (multiplicity 1)
Co2 0.9930 0.4919 0.9927 (multiplicity 1)
Co3 0.9949 0.8288 0.6525 (multiplicity 1)
O1 0.2409 0.5200 0.7544 (multiplicity 1)
O2 0.2452 0.1904 0.0724 (multiplicity 1)
O3 0.2498 0.8327 0.4272 (multiplicity 1)
O4 0.2514 0.9704 0.7307 (multiplicity 1)
O5 0.2687 0.6538 0.0639 (multiplicity 1)
O6 0.2720 0.3146 0.3972 (multiplicity 1)
O7 0.7158 0.0079 0.2429 (multiplicity 1)
O8 0.7189 0.3412 0.9090 (multiplicity 1)
O9 0.7380 0.6767 0.5853 (multiplicity 1)
O10 0.7396 0.1302 0.5733 (multiplicity 1)
O11 0.7413 0.4804 0.2189 (multiplicity 1)
O12 0.7473 0.7996 0.8921 (multiplicity 1)

Peak list (8 most intense, 10 to 80 degrees two-theta, most intense first)
4.777 Å, rel. 100, hkl 0 1 1
2.026 Å, rel. 52, hkl 1 -2 1
2.085 Å, rel. 29, hkl 2 2 2
2.437 Å, rel. 24, hkl 1 -1 2
1.446 Å, rel. 15, hkl 3 2 -1
2.490 Å, rel. 13, hkl 2 1 1
2.353 Å, rel. 10, hkl 2 0 0
7.344 Å, rel. 8, hkl 0 0 1



> Which formula does entry 4 have?

Li7Mn2Co3O12